Entry 1:
Diffraction record for Na8Cd6Pt. The powder diffraction line list is theoretical, not measured: it uses a crystal structure in Alexandria, relaxed with GGA-PBE and Cu Kα.

Main lines, low angle first (2θ from 15° to 90°):
2theta	d (Å)	I/Imax	hkl
15.62	5.675	189	0 1 2
16.18	5.477	853	0 0 3
32.70	2.738	272	0 0 6
34.28	2.616	515	3 0 0
38.12	2.361	1000	0 3 3
48.10	1.892	327	3 0 6
61.38	1.510	136	3 3 0
61.99	1.497	196	0 3 9
63.94	1.456	126	3 3 3
71.31	1.323	149	3 3 6

Cell and atoms:
Lattice parameters (Å, degrees): 9.0624 9.0624 16.4305 90.00 90.00 120.00
Space group R-3m (No. 166, hexagonal axes)
Inequivalent atoms, fractional coordinates:
Na 0.0000 0.0000 0.1116 x6
Na 0.0969 0.5484 0.3325 x18
Cd 0.0000 0.3243 0.5000 x18
Pt 0.0000 0.0000 0.5000 x3

Entry 2:
Diffraction record for Na3Cd4Pt4. The powder diffraction line list is theoretical, not measured: it uses a crystal structure in Alexandria, relaxed with GGA-PBE and Cu Kα.

Main lines, low angle first (2θ from 15° to 90°):
2theta	d (Å)	I/Imax	hkl
21.10	4.211	805	1 0 1
21.68	4.100	714	0 1 3
23.36	3.807	452	1 1 0
31.70	2.823	655	1 2 1
34.02	2.635	871	1 1 4
36.94	2.433	309	0 0 6
41.05	2.199	618	2 0 0
43.00	2.104	1000	1 3 2
44.19	2.050	811	0 2 6
48.30	1.884	408	1 0 7

Cell and atoms:
Lattice parameters (Å, degrees): 4.3983 7.6064 14.6015 90.00 90.00 90.00
Space group Immm (No. 71)
Inequivalent atoms, fractional coordinates:
Na 0.0000 0.0000 0.0000 x2
Na 0.0000 0.5000 0.1135 x4
Cd 0.0000 0.3013 0.3292 x8
Pt 0.0000 0.0000 0.2234 x4
Pt 0.0000 0.1692 0.5000 x4

Entry 3:
Diffraction record for NaCd8Pt4. The powder diffraction line list is theoretical, not measured: it uses a crystal structure in Alexandria, relaxed with GGA-PBE and Cu Kα.

Main lines, low angle first (2θ from 15° to 90°):
2theta	d (Å)	I/Imax	hkl
18.51	4.793	710	2 0 0
36.29	2.476	543	2 0 2
37.22	2.415	249	3 2 1
37.53	2.396	566	4 0 0
41.04	2.199	1000	2 2 2
42.16	2.143	432	4 2 0
66.92	1.398	202	6 0 2
70.10	1.342	195	6 2 2
79.33	1.208	141	6 4 2
80.08	1.198	176	8 0 0

Cell and atoms:
Lattice parameters (Å, degrees): 9.5854 9.5854 5.7821 90.00 90.00 90.00
Space group I4/mmm (No. 139)
Inequivalent atoms, fractional coordinates:
Na 0.0000 0.0000 0.0000 x2
Cd 0.0000 0.2221 0.5000 x8
Cd 0.0000 0.3244 0.0000 x8
Pt 0.2500 0.2500 0.2500 x8

Entry 4:
Diffraction record for Na2Cd5Pt5. The powder diffraction line list is theoretical, not measured: it uses a crystal structure in Alexandria, relaxed with GGA-PBE and Cu Kα.

Main lines, low angle first (2θ from 15° to 90°):
2theta	d (Å)	I/Imax	hkl
18.18	4.881	524	0 1 1
18.30	4.847	567	0 0 2
19.35	4.588	328	1 0 0
36.83	2.440	300	0 2 2
37.39	2.405	382	1 2 0
37.58	2.393	515	1 1 3
39.27	2.294	445	2 0 0
41.93	2.155	1000	1 2 2
42.17	2.143	372	1 0 4
43.62	2.075	236	2 0 2

Cell and atoms:
Lattice parameters (Å, degrees): 4.5883 5.6492 9.6950 90.00 90.00 90.00
Space group Pmmm (No. 47)
Inequivalent atoms, fractional coordinates:
Na 0.0000 0.0000 0.0000 x1
Na 0.0000 0.5000 0.5000 x1
Cd 0.0000 0.0000 0.3136 x2
Cd 0.0000 0.5000 0.1678 x2
Cd 0.5000 0.0000 0.5000 x1
Pt 0.5000 0.2474 0.2431 x4
Pt 0.5000 0.5000 0.0000 x1

Entry 5:
Diffraction record for NaCd11Pt. The powder diffraction line list is theoretical, not measured: it uses a crystal structure in Alexandria, relaxed with GGA-PBE and Cu Kα.

Main lines, low angle first (2θ from 15° to 90°):
2theta	d (Å)	I/Imax	hkl
17.46	5.080	316	1 1 0
17.76	4.993	461	0 2 1
30.84	2.899	330	1 3 1
35.34	2.540	797	2 2 0
35.54	2.526	358	1 5 -1
35.98	2.496	678	0 4 2
36.09	2.489	414	1 1 -3
39.65	2.273	658	2 4 -1
40.02	2.253	1000	2 0 -3
64.26	1.450	319	2 6 2

Cell and atoms:
Lattice parameters (Å, degrees): 5.9006 14.2629 7.5891 90.00 112.87 90.00
Space group C2/m (No. 12)
Inequivalent atoms, fractional coordinates:
Na 0.0000 0.0000 0.0000 x2
Cd 0.0000 0.0000 0.5000 x2
Cd 0.0949 0.3940 0.2175 x8
Cd 0.1910 0.1699 0.3562 x8
Cd 0.2500 0.2500 0.0000 x4
Pt 0.0000 0.5000 0.5000 x2

Entry 6:
Diffraction record for Na3CdPt. The powder diffraction line list is theoretical, not measured: it uses a crystal structure in Alexandria, relaxed with GGA-PBE and Cu Kα.

Main lines, low angle first (2θ from 15° to 90°):
2theta	d (Å)	I/Imax	hkl
16.28	5.443	1000	1 1 0
19.98	4.444	661	1 1 1
28.40	3.143	266	2 1 1
34.97	2.566	908	2 2 1
36.93	2.434	587	3 0 1
42.33	2.135	278	3 2 0
44.01	2.057	528	3 1 2
48.78	1.867	422	4 1 0
61.41	1.510	386	4 3 1
65.27	1.429	328	5 2 0

Cell and atoms:
Lattice parameters (Å, degrees): 7.6981 7.6981 7.6981 90.00 90.00 90.00
Space group P2_13 (No. 198)
Inequivalent atoms, fractional coordinates:
Na 0.0391 0.1310 0.8079 x12
Cd 0.0713 0.9287 0.4287 x4
Pt 0.1816 0.1816 0.1816 x4

Entry 7:
Diffraction record for NaCd5Pt4. The powder diffraction line list is theoretical, not measured: it uses a crystal structure in Alexandria, relaxed with GGA-PBE and Cu Kα.

Main lines, low angle first (2θ from 15° to 90°):
2theta	d (Å)	I/Imax	hkl
36.14	2.485	882	0 1 5
37.90	2.374	1000	1 1 0
40.77	2.213	258	0 1 6
41.13	2.195	615	1 0 5
45.34	2.000	190	1 0 6
46.62	1.948	277	0 2 0
63.89	1.457	330	1 2 5
67.05	1.396	124	1 2 6
73.92	1.282	216	2 1 5
76.32	1.248	190	1 1 11

Cell and atoms:
Lattice parameters (Å, degrees): 2.9933 3.8965 16.1344 90.00 90.00 90.00
Space group Pmmm (No. 47)
Inequivalent atoms, fractional coordinates:
Na 0.0000 0.0000 0.0000 x1
Cd 0.5000 0.5000 0.1262 x2
Cd 0.5000 0.5000 0.3133 x2
Cd 0.5000 0.5000 0.5000 x1
Pt 0.0000 0.0000 0.2183 x2
Pt 0.0000 0.0000 0.4070 x2

Entry 8:
Diffraction record for NaCdSbPt. The powder diffraction line list is theoretical, not measured: it uses a crystal structure in Alexandria, relaxed with GGA-PBE and Cu Kα.

Main lines, low angle first (2θ from 15° to 90°):
2theta	d (Å)	I/Imax	hkl
22.51	3.949	324	1 1 1
37.18	2.419	1000	2 2 0
43.90	2.063	174	3 1 1
53.59	1.710	172	4 0 0
58.84	1.569	75	3 3 1
67.02	1.396	347	4 2 2
71.69	1.316	57	5 1 1
79.21	1.209	108	4 4 0
83.63	1.156	59	5 3 1

Cell and atoms:
Lattice parameters (Å, degrees): 6.8406 6.8406 6.8406 90.00 90.00 90.00
Space group F-43m (No. 216)
Inequivalent atoms, fractional coordinates:
Na 0.0000 0.0000 0.0000 x4
Cd 0.2500 0.2500 0.2500 x4
Sb 0.2500 0.2500 0.7500 x4
Pt 0.0000 0.0000 0.5000 x4

Entry 9:
Diffraction record for Rb4Na4Cd. The powder diffraction line list is theoretical, not measured: it uses a crystal structure in Alexandria, relaxed with GGA-PBE and Cu Kα.

Main lines, low angle first (2θ from 15° to 90°):
2theta	d (Å)	I/Imax	hkl
18.90	4.695	1000	1 1 2
22.04	4.032	311	2 0 0
25.27	3.524	780	2 1 1
26.62	3.348	398	1 1 4
29.60	3.018	447	2 1 3
30.97	2.887	727	2 0 4
31.37	2.851	352	2 2 0
36.88	2.437	311	3 1 2
46.74	1.943	396	1 1 8
49.17	1.853	317	3 2 5

Cell and atoms:
Lattice parameters (Å, degrees): 8.0643 8.0643 16.5454 90.00 90.00 90.00
Space group I-42m (No. 121)
Inequivalent atoms, fractional coordinates:
Rb 0.2064 0.2064 0.3985 x8
Na 0.1801 0.1801 0.1545 x8
Cd 0.0000 0.0000 0.0000 x2

Entry 10:
Diffraction record for Rb5NaCd4. The powder diffraction line list is theoretical, not measured: it uses a crystal structure in Alexandria, relaxed with GGA-PBE and Cu Kα.

Main lines, low angle first (2θ from 15° to 90°):
2theta	d (Å)	I/Imax	hkl
21.21	4.190	826	1 1 1
22.63	3.930	688	4 0 1
25.12	3.545	780	6 0 -2
25.72	3.464	1000	3 1 -2
28.13	3.172	740	4 0 -3
31.83	2.811	612	5 1 1
32.12	2.786	999	7 1 -1
32.76	2.733	708	3 1 2
34.90	2.571	705	0 2 0
41.98	2.152	503	4 2 1

Cell and atoms:
Lattice parameters (Å, degrees): 23.2471 5.1423 9.6533 90.00 113.43 90.00
Space group C2/m (No. 12)
Inequivalent atoms, fractional coordinates:
Rb 0.0000 0.0000 0.0000 x2
Rb 0.1409 0.5000 0.5098 x4
Rb 0.1985 0.5000 0.1078 x4
Na 0.0000 0.0000 0.5000 x2
Cd 0.0466 0.5000 0.7426 x4
Cd 0.1202 0.0000 0.8030 x4

Entry 11:
Diffraction record for Rb2NaCd6. The powder diffraction line list is theoretical, not measured: it uses a crystal structure in Alexandria, relaxed with GGA-PBE and Cu Kα.

Main lines, low angle first (2θ from 15° to 90°):
2theta	d (Å)	I/Imax	hkl
19.40	4.576	334	0 0 1
27.99	3.188	1000	0 2 1
34.98	2.565	734	6 0 0
39.38	2.288	176	0 0 2
40.29	2.239	201	6 0 1
40.34	2.236	100	3 3 1
45.35	2.000	174	6 2 1
53.66	1.708	275	6 0 2
53.72	1.706	137	3 3 2
58.59	1.575	155	3 5 1

Cell and atoms:
Lattice parameters (Å, degrees): 15.4166 8.8719 4.5760 90.00 90.07 90.00
Space group C2/m (No. 12)
Inequivalent atoms, fractional coordinates:
Rb 0.1668 0.0000 0.0000 x4
Na 0.0000 0.5000 0.0000 x2
Cd 0.0000 0.1730 0.5000 x4
Cd 0.1637 0.3360 0.5000 x8

Entry 12:
Diffraction record for RbNaCd. The powder diffraction line list is theoretical, not measured: it uses a crystal structure in Alexandria, relaxed with GGA-PBE and Cu Kα.

Main lines, low angle first (2θ from 15° to 90°):
2theta	d (Å)	I/Imax	hkl
26.11	3.413	504	0 2 1
26.29	3.390	960	2 2 -1
26.61	3.350	1000	2 2 0
29.46	3.032	322	1 3 0
30.09	2.970	609	3 1 0
31.91	2.804	534	2 0 -2
32.17	2.782	500	1 3 -1
44.09	2.054	311	1 1 2
50.45	1.809	260	2 4 1
50.77	1.798	265	4 4 -1

Cell and atoms:
Lattice parameters (Å, degrees): 10.8436 9.6139 5.6090 90.00 120.24 90.00
Space group Cc (No. 9)
Inequivalent atoms, fractional coordinates:
Rb 0.0000 0.1867 0.0000 x4
Na 0.3219 0.1153 0.8221 x4
Cd 0.1721 0.4396 0.6722 x4

Entry 13:
Diffraction record for RbNa10Cd2. The powder diffraction line list is theoretical, not measured: it uses a crystal structure in Alexandria, relaxed with GGA-PBE and Cu Kα.

Main lines, low angle first (2θ from 15° to 90°):
2theta	d (Å)	I/Imax	hkl
15.11	5.864	335	2 0 0
19.99	4.441	439	0 2 2
21.43	4.146	438	2 0 2
25.16	3.540	226	2 2 2
30.39	2.941	1000	0 4 2
30.50	2.931	495	4 0 0
34.12	2.628	460	2 4 2
36.74	2.446	240	2 2 4
43.63	2.075	281	4 0 4
63.41	1.467	190	0 0 8

Cell and atoms:
Lattice parameters (Å, degrees): 11.7145 13.6081 11.7333 90.00 90.00 90.00
Space group Cmcm (No. 63)
Inequivalent atoms, fractional coordinates:
Rb 0.0000 0.1239 0.2500 x4
Na 0.0000 0.1673 0.5951 x8
Na 0.0000 0.3828 0.0572 x8
Na 0.1476 0.3792 0.7500 x8
Na 0.2238 0.0000 0.0000 x8
Na 0.2328 0.3578 0.2500 x8
Cd 0.2500 0.2500 0.0000 x8